Simulated X-ray powder pattern of TlSn4Au4 for Cu Kα, from a crystal structure in Alexandria, relaxed with GGA-PBE.
No peak broadening, texture or thermal motion is included.

Main lines, in order of rising 2θ (15 to 90 degrees two-theta):
d_spacing, I/Imax
3.034, 100
2.782, 58
2.546, 40
2.219, 24
2.201, 27
1.878, 50
1.800, 24
1.691, 27

Structure:
```
data_TlSn4Au4
_chemical_formula_sum 'Tl2 Sn8 Au8'
_cell_length_a 7.2013
_cell_length_b 7.2013
_cell_length_c 9.0485
_cell_angle_alpha 90.00
_cell_angle_beta 90.00
_cell_angle_gamma 90.00
_space_group_name_H-M_alt 'P 42/n m c'
_space_group_IT_number 137
loop_
_space_group_symop_operation_xyz
'x,y,z'
'-x,-y,-z'
'-y+1/2,x,z+1/2'
'y+1/2,-x,-z+1/2'
'-x+1/2,-y+1/2,z'
'x+1/2,y+1/2,-z'
'y,-x+1/2,z+1/2'
'-y,x+1/2,-z+1/2'
'x+1/2,-y,-z'
'-x+1/2,y,z'
'-y,-x,-z+1/2'
'y,x,z+1/2'
'-x,y+1/2,-z'
'x,-y+1/2,z'
'y+1/2,x+1/2,-z+1/2'
'-y+1/2,-x+1/2,z+1/2'
loop_
_atom_site_label
_atom_site_type_symbol
_atom_site_fract_x
_atom_site_fract_y
_atom_site_fract_z
_atom_site_occupancy
Tl1 Tl 0.2500 0.7500 0.2500 1
Sn1 Sn 0.0018 0.7500 0.6065 1
Au1 Au 0.0514 0.2500 0.0861 1
```